No. 1
# Cs2TaPdS4
Calculated powder X-ray diffraction pattern, Cu Kα (weighted mean of Kα1 and Kα2). Input: the PBE geometry in Alexandria.

Cell and atoms:
a b c (Å): 14.1994 12.5400 7.8432
angles (deg): 85.00 61.62 33.38
Sites, in units of the cell vectors:
Cs  0.0502  0.0502  0.6998
Cs  0.3002  0.3002  0.9498
Cs  0.6998  0.6998  0.0502
Cs  0.9498  0.9498  0.3002
Ta  0.3750  0.3750  0.3750
Ta  0.6250  0.6250  0.6250
Pd  0.1250  0.1250  0.1250
Pd  0.8750  0.8750  0.8750
S  0.0027  0.3511  0.4366
S  0.2904  0.5634  0.6489
S  0.3511  0.0027  0.7096
S  0.4366  0.7096  0.0027
S  0.5634  0.2904  0.9973
S  0.6489  0.9973  0.2904
S  0.7096  0.4366  0.3511
S  0.9973  0.6489  0.5634

Principal peaks in the range 2θ from 10° to 90°, most intense first:
- 2θ 25.1, d 3.548, I 100.0
- 2θ 26.3, d 3.394, I 64.0
- 2θ 19.7, d 4.517, I 48.2
- 2θ 33.0, d 2.716, I 46.4
- 2θ 14.2, d 6.248, I 44.6
- 2θ 37.9, d 2.376, I 43.3
- 2θ 14.5, d 6.097, I 41.2
- 2θ 24.5, d 3.638, I 40.7
- 2θ 45.6, d 1.989, I 37.6
- 2θ 43.4, d 2.083, I 28.8

No. 2
# Pm13Pr2
Calculated powder X-ray diffraction pattern, Cu Kα (weighted mean of Kα1 and Kα2). Input: the PBE geometry in Alexandria.

Cell and atoms:
a b c (Å): 6.7901 9.1590 9.1607
angles (deg): 66.51 82.36 82.32
Sites, in units of the cell vectors:
Pm  0.0000  0.0000  0.0000
Pm  0.0989  0.4329  0.7670
Pm  0.2018  0.2023  0.1969
Pm  0.2991  0.9687  0.6313
Pm  0.3005  0.6347  0.9650
Pm  0.4010  0.4008  0.3982
Pm  0.4995  0.1664  0.8330
Pm  0.5005  0.8336  0.1670
Pm  0.5990  0.5992  0.6018
Pm  0.6995  0.3653  0.0350
Pm  0.7009  0.0313  0.3687
Pm  0.7982  0.7977  0.8031
Pm  0.9011  0.5671  0.2330
Pr  0.1016  0.7671  0.4330
Pr  0.8984  0.2329  0.5670

Principal peaks in the range 2θ from 10° to 90°, most intense first:
- 2θ 30.9, d 2.897, I 100.0
- 2θ 54.9, d 1.674, I 19.4
- 2θ 44.2, d 2.049, I 17.6
- 2θ 61.3, d 1.512, I 15.5
- 2θ 54.9, d 1.672, I 9.7
- 2θ 89.4, d 1.096, I 8.2
- 2θ 73.0, d 1.296, I 7.2
- 2θ 64.3, d 1.449, I 6.5
- 2θ 78.6, d 1.217, I 6.1
- 2θ 40.2, d 2.244, I 5.6

No. 3
# BeSb
Calculated powder X-ray diffraction pattern, Cu Kα (weighted mean of Kα1 and Kα2). Input: the PBE geometry in Alexandria.

Cell and atoms:
a b c (Å): 3.1293 4.1319 4.1822
angles (deg): 119.35 111.69 90.05
Sites, in units of the cell vectors:
Be  0.0000  0.0000  0.0000
Sb  0.8025  0.3047  0.6041

Principal peaks in the range 2θ from 10° to 90°, most intense first:
- 2θ 25.4, d 3.509, I 100.0
- 2θ 25.5, d 3.495, I 99.4
- 2θ 27.0, d 3.301, I 81.0
- 2θ 36.0, d 2.495, I 74.6
- 2θ 31.6, d 2.833, I 61.2
- 2θ 31.7, d 2.822, I 60.5
- 2θ 45.5, d 1.994, I 45.7
- 2θ 55.0, d 1.669, I 37.0
- 2θ 43.8, d 2.066, I 26.0
- 2θ 45.6, d 1.989, I 22.7

No. 4
# Tb3Ag2Os
Calculated powder X-ray diffraction pattern, Cu Kα (weighted mean of Kα1 and Kα2). Input: the PBE geometry in Alexandria.

Cell and atoms:
a b c (Å): 5.0155 7.3284 7.8694
angles (deg): 90.00 108.52 90.00
Sites, in units of the cell vectors:
Tb  0.0000  0.2324  0.0000
Tb  0.0000  0.7676  0.0000
Tb  0.3270  0.2279  0.6543
Tb  0.3270  0.7721  0.6543
Tb  0.6730  0.2279  0.3457
Tb  0.6730  0.7721  0.3457
Ag  0.1653  0.5000  0.3302
Ag  0.5000  0.0000  0.0000
Ag  0.5000  0.5000  0.0000
Ag  0.8347  0.5000  0.6698
Os  0.1642  0.0000  0.3287
Os  0.8358  0.0000  0.6713

Principal peaks in the range 2θ from 10° to 90°, most intense first:
- 2θ 35.3, d 2.543, I 100.0
- 2θ 35.8, d 2.508, I 25.1
- 2θ 36.1, d 2.487, I 24.0
- 2θ 64.0, d 1.455, I 17.5
- 2θ 64.4, d 1.447, I 16.4
- 2θ 74.6, d 1.271, I 9.8
- 2θ 51.7, d 1.767, I 8.7
- 2θ 51.8, d 1.765, I 8.5
- 2θ 49.8, d 1.832, I 8.4
- 2θ 62.8, d 1.479, I 8.3

No. 5
# NdHoTm2Se4
Calculated powder X-ray diffraction pattern, Cu Kα (weighted mean of Kα1 and Kα2). Input: the PBE geometry in Alexandria.

Cell and atoms:
a b c (Å): 7.0275 4.0085 7.2030
angles (deg): 90.00 108.55 90.00
Sites, in units of the cell vectors:
Nd  0.0000  0.0000  0.0000
Ho  0.5000  0.5000  0.0000
Tm  0.0000  0.5000  0.5000
Tm  0.5000  0.0000  0.5000
Se  0.2532  0.0000  0.7403
Se  0.2616  0.5000  0.2647
Se  0.7384  0.5000  0.7353
Se  0.7468  0.0000  0.2597

Principal peaks in the range 2θ from 10° to 90°, most intense first:
- 2θ 31.0, d 2.885, I 100.0
- 2θ 44.0, d 2.059, I 25.2
- 2θ 44.8, d 2.022, I 24.1
- 2θ 43.6, d 2.077, I 12.9
- 2θ 55.8, d 1.646, I 12.5
- 2θ 64.6, d 1.443, I 11.9
- 2θ 45.2, d 2.004, I 11.8
- 2θ 27.1, d 3.293, I 10.5
- 2θ 53.7, d 1.707, I 6.9
- 2θ 55.1, d 1.666, I 6.4

No. 6
# Ho4HgRh2
Calculated powder X-ray diffraction pattern, Cu Kα (weighted mean of Kα1 and Kα2). Input: the PBE geometry in Alexandria.

Cell and atoms:
a b c (Å): 8.1178 7.1474 8.9147
angles (deg): 59.51 49.35 71.14
Sites, in units of the cell vectors:
Ho  0.0604  0.2455  0.0344
Ho  0.2156  0.5903  0.1896
Ho  0.2455  0.0604  0.6597
Ho  0.3290  0.6710  0.4603
Ho  0.5903  0.2156  0.0045
Ho  0.6710  0.3290  0.5397
Ho  0.7103  0.7897  0.5790
Ho  0.7897  0.7103  0.9210
Hg  0.0957  0.0957  0.4043
Hg  0.8457  0.8457  0.1543
Rh  0.3390  0.5808  0.8038
Rh  0.4462  0.9736  0.9110
Rh  0.5808  0.3390  0.2764
Rh  0.9736  0.4462  0.6692

Principal peaks in the range 2θ from 10° to 90°, most intense first:
- 2θ 32.4, d 2.767, I 100.0
- 2θ 32.7, d 2.742, I 88.8
- 2θ 35.2, d 2.551, I 67.0
- 2θ 34.1, d 2.627, I 41.9
- 2θ 40.2, d 2.246, I 33.6
- 2θ 37.0, d 2.432, I 23.4
- 2θ 29.0, d 3.079, I 22.4
- 2θ 30.4, d 2.939, I 19.6
- 2θ 62.3, d 1.491, I 16.2
- 2θ 39.8, d 2.265, I 16.1